Record 1
Nd4Se2S3: theoretical powder diffraction line list (copper Kα), based on the PBE geometry in Alexandria.
Peak positions follow from Bragg's law for the DFT cell and can differ from measured ones.

The 10 most intense peaks (15° ≤ 2θ ≤ 90°), by angle:
- 3.503 Å, 2θ = 25.4°, I 45
- 3.379 Å, 2θ = 26.4°, I 45
- 3.177 Å, 2θ = 28.1°, I 30
- 2.730 Å, 2θ = 32.8°, I 100
- 2.648 Å, 2θ = 33.8°, I 62
- 2.390 Å, 2θ = 37.6°, I 27
- 2.214 Å, 2θ = 40.8°, I 18
- 2.046 Å, 2θ = 44.3°, I 17
- 1.976 Å, 2θ = 45.9°, I 23
- 1.922 Å, 2θ = 47.3°, I 24

```
Nd4Se2S3
1.0
3.951 -7.571 0.000
3.951 7.571 0.000
0.000 0.000 7.549
Nd Se S
8 4 6
direct
0.200 0.800 0.958
0.225 0.275 0.750
0.275 0.225 0.250
0.300 0.700 0.458
0.700 0.300 0.542
0.725 0.775 0.750
0.775 0.725 0.250
0.800 0.200 0.042
0.105 0.895 0.584
0.395 0.605 0.084
0.605 0.395 0.916
0.895 0.105 0.416
0.000 0.000 0.000
0.041 0.459 0.750
0.459 0.041 0.250
0.500 0.500 0.500
0.541 0.959 0.750
0.959 0.541 0.250
```

Record 2
Dy7Y2Th3: theoretical powder diffraction line list (copper Kα), based on the PBE geometry in Alexandria.
Peak positions follow from Bragg's law for the DFT cell and can differ from measured ones.

The 10 most intense peaks (15° ≤ 2θ ≤ 90°), by angle:
- 2.981 Å, 2θ = 30.0°, I 74
- 2.910 Å, 2θ = 30.7°, I 89
- 2.887 Å, 2θ = 31.0°, I 97
- 2.832 Å, 2θ = 31.6°, I 100
- 2.646 Å, 2θ = 33.9°, I 71
- 2.562 Å, 2θ = 35.0°, I 74
- 2.355 Å, 2θ = 38.2°, I 31
- 1.810 Å, 2θ = 50.4°, I 37
- 1.493 Å, 2θ = 62.2°, I 27
- 1.456 Å, 2θ = 63.9°, I 32

```
Dy7Y2Th3
1.0
6.351 0.000 0.000
0.000 3.489 0.000
-1.961 0.000 17.323
Dy Y Th
7 2 3
direct
0.000 0.000 0.000
0.236 0.500 0.167
0.259 0.500 0.504
0.280 0.000 0.836
0.720 0.000 0.164
0.741 0.500 0.496
0.764 0.500 0.833
0.043 0.500 0.672
0.957 0.500 0.328
0.461 0.000 0.339
0.500 0.500 0.000
0.539 0.000 0.661
```

Record 3
Pm4PbSe3: theoretical powder diffraction line list (copper Kα), based on the PBE geometry in Alexandria.
Peak positions follow from Bragg's law for the DFT cell and can differ from measured ones.

The 10 most intense peaks (15° ≤ 2θ ≤ 90°), by angle:
- 3.038 Å, 2θ = 29.4°, I 100
- 2.155 Å, 2θ = 41.9°, I 13
- 2.148 Å, 2θ = 42.1°, I 50
- 2.142 Å, 2θ = 42.2°, I 13
- 1.758 Å, 2θ = 52.0°, I 13
- 1.750 Å, 2θ = 52.3°, I 13
- 1.519 Å, 2θ = 61.0°, I 13
- 1.359 Å, 2θ = 69.1°, I 23
- 1.243 Å, 2θ = 76.7°, I 13
- 1.238 Å, 2θ = 77.0°, I 13

```
Pm4PbSe3
1.0
4.283 0.000 0.000
0.000 6.077 0.000
0.000 0.000 8.621
Pm Pb Se
4 1 3
direct
0.000 0.000 0.000
0.000 0.000 0.500
0.500 0.500 0.239
0.500 0.500 0.761
0.000 0.500 0.500
0.000 0.500 0.000
0.500 0.000 0.247
0.500 0.000 0.753
```

Record 4
Sm5Ho4Sc2: theoretical powder diffraction line list (copper Kα), based on the PBE geometry in Alexandria.
Peak positions follow from Bragg's law for the DFT cell and can differ from measured ones.

The 10 most intense peaks (15° ≤ 2θ ≤ 90°), by angle:
- 3.493 Å, 2θ = 25.5°, I 22
- 3.176 Å, 2θ = 28.1°, I 41
- 2.976 Å, 2θ = 30.0°, I 92
- 2.962 Å, 2θ = 30.2°, I 29
- 2.829 Å, 2θ = 31.6°, I 24
- 2.732 Å, 2θ = 32.8°, I 100
- 2.694 Å, 2θ = 33.3°, I 29
- 2.510 Å, 2θ = 35.8°, I 69
- 2.387 Å, 2θ = 37.7°, I 23
- 1.520 Å, 2θ = 61.0°, I 24

```
Sm5Ho4Sc2
1.0
11.904 -1.768 0.000
11.904 1.768 0.000
-2.744 0.000 8.470
Sm Ho Sc
5 4 2
direct
0.000 0.000 0.000
0.327 0.327 0.578
0.373 0.373 0.036
0.627 0.627 0.964
0.673 0.673 0.422
0.231 0.231 0.812
0.485 0.485 0.669
0.515 0.515 0.331
0.769 0.769 0.188
0.096 0.096 0.627
0.904 0.904 0.373
```

Record 5
PmSm3Co: theoretical powder diffraction line list (copper Kα), based on the PBE geometry in Alexandria.
Peak positions follow from Bragg's law for the DFT cell and can differ from measured ones.

The 10 most intense peaks (15° ≤ 2θ ≤ 90°), by angle:
- 3.275 Å, 2θ = 27.2°, I 16
- 3.118 Å, 2θ = 28.6°, I 33
- 2.899 Å, 2θ = 30.8°, I 100
- 2.867 Å, 2θ = 31.2°, I 51
- 2.258 Å, 2θ = 39.9°, I 26
- 1.900 Å, 2θ = 47.9°, I 13
- 1.873 Å, 2θ = 48.6°, I 23
- 1.755 Å, 2θ = 52.1°, I 23
- 1.606 Å, 2θ = 57.4°, I 19
- 1.584 Å, 2θ = 58.3°, I 17

```
PmSm3Co
1.0
7.598 0.000 0.000
0.000 6.458 0.000
0.000 0.000 6.235
Pm Sm Co
2 6 2
direct
0.000 0.154 0.000
0.500 0.846 0.500
0.000 0.844 0.495
0.250 0.328 0.498
0.250 0.672 0.998
0.500 0.156 0.995
0.750 0.328 0.498
0.750 0.672 0.998
0.000 0.500 0.748
0.500 0.500 0.248
```

Record 6
MgAl3Ag7: theoretical powder diffraction line list (copper Kα), based on the PBE geometry in Alexandria.
Peak positions follow from Bragg's law for the DFT cell and can differ from measured ones.

The 10 most intense peaks (15° ≤ 2θ ≤ 90°), by angle:
- 3.281 Å, 2θ = 27.2°, I 79
- 3.159 Å, 2θ = 28.3°, I 30
- 2.959 Å, 2θ = 30.2°, I 34
- 2.695 Å, 2θ = 33.2°, I 83
- 2.535 Å, 2θ = 35.4°, I 100
- 2.384 Å, 2θ = 37.7°, I 80
- 2.251 Å, 2θ = 40.1°, I 85
- 2.224 Å, 2θ = 40.6°, I 46
- 2.125 Å, 2θ = 42.6°, I 60
- 1.737 Å, 2θ = 52.7°, I 47

```
MgAl3Ag7
1.0
4.746 -4.768 0.000
4.746 4.768 0.000
-2.336 0.000 4.521
Mg Al Ag
1 3 7
direct
0.000 0.000 0.000
0.274 0.726 0.500
0.500 0.500 0.000
0.726 0.274 0.500
0.000 0.000 0.500
0.097 0.546 0.819
0.318 0.318 0.389
0.454 0.903 0.181
0.546 0.097 0.819
0.682 0.682 0.611
0.903 0.454 0.181
```